Structure and computed powder diffraction line list of Er2Bi2O7 (DFT lattice parameters and positions (GGA-PBE); copper Kα).
No peak broadening, texture or thermal motion is included.

Crystal structure
Cell lengths 7.3296, 7.3296, 13.1189 Å; angles 90.00, 90.00, 90.00 degrees
Space group P4_1 (No. 76)
One atom of each set of equivalent atoms:
Er: 0.1201 0.8494 0.0000 (multiplicity 4)
Er: 0.3505 0.6230 0.2193 (multiplicity 4)
Bi: 0.1230 0.3806 0.7072 (multiplicity 4)
Bi: 0.1245 0.3802 0.0184 (multiplicity 4)
O: 0.0748 0.4051 0.5232 (multiplicity 4)
O: 0.0918 0.8198 0.1833 (multiplicity 4)
O: 0.1083 0.4157 0.1889 (multiplicity 4)
O: 0.1132 0.8318 0.8265 (multiplicity 4)
O: 0.1787 0.3149 0.8675 (multiplicity 4)
O: 0.3183 0.5889 0.0338 (multiplicity 4)
O: 0.3238 0.6092 0.3888 (multiplicity 4)

The 10 most intense peaks (10° ≤ 2θ ≤ 90°), sorted by position:
d = 3.530 Å, 25.2°, I = 79
d = 3.279 Å, 27.2°, I = 100
d = 3.180 Å, 28.1°, I = 67
d = 2.932 Å, 30.5°, I = 41
d = 2.809 Å, 31.9°, I = 72
d = 2.623 Å, 34.2°, I = 43
d = 2.033 Å, 44.6°, I = 30
d = 1.832 Å, 49.8°, I = 35
d = 1.670 Å, 55.0°, I = 54
d = 1.600 Å, 57.6°, I = 26